1.
Structure and simulated XRD peak list of Er4GaTe2 (a crystal structure in Alexandria, relaxed with PBE; Cu Ka).
Neutral-atom scattering factors, no anomalous dispersion.

Top 8 peaks for 2θ = 5–70°, in order of rising 2θ:
- (2 2 0), 2θ = 27.06°, I = 77
- (3 0 1), 2θ = 30.34°, I = 27
- (1 0 3), 2θ = 30.43°, I = 67
- (3 2 1), 2θ = 36.10°, I = 100
- (4 0 0), 2θ = 38.64°, I = 25
- (3 0 3), 2θ = 41.13°, I = 30
- (3 3 2), 2θ = 45.71°, I = 32
- (4 1 3), 2θ = 49.94°, I = 20

Crystal structure
```
data_Er4GaTe2
_symmetry_space_group_name_H-M 'I 41 2 2'
_symmetry_Int_Tables_number 98
_symmetry_space_group_name_Hall 'I 4bw 2bw'
_cell_length_a 9.3201
_cell_length_b 9.3201
_cell_length_c 9.2842
_cell_angle_alpha 90.00
_cell_angle_beta 90.00
_cell_angle_gamma 90.00
loop_
_atom_site_label
_atom_site_fract_x
_atom_site_fract_y
_atom_site_fract_z
_atom_site_occupancy
Er1 0.0313 0.6998 0.4461 1
Ga1 0.0000 0.0000 0.5000 1
Te1 0.0332 0.2500 0.1250 1
```

---

2.
Structure and simulated XRD peak list of Er4GaTe4 (a crystal structure in Alexandria, relaxed with PBE; Cu Ka).
Neutral-atom scattering factors, no anomalous dispersion.

Top 8 peaks for 2θ = 5–70°, in order of rising 2θ:
- (1 1 2), 2θ = 22.32°, I = 100
- (2 1 3), 2θ = 35.09°, I = 17
- (2 0 4), 2θ = 36.35°, I = 59
- (2 2 0), 2θ = 37.84°, I = 28
- (1 1 6), 2θ = 41.74°, I = 15
- (3 1 2), 2θ = 44.37°, I = 23
- (3 0 3), 2θ = 44.51°, I = 10
- (4 2 4), 2θ = 67.37°, I = 19

Crystal structure
```
data_Er4GaTe4
_symmetry_space_group_name_H-M 'I -4 2 m'
_symmetry_Int_Tables_number 121
_symmetry_space_group_name_Hall 'I -4 2'
_cell_length_a 6.7254
_cell_length_b 6.7254
_cell_length_c 14.5825
_cell_angle_alpha 90.00
_cell_angle_beta 90.00
_cell_angle_gamma 90.00
loop_
_atom_site_label
_atom_site_fract_x
_atom_site_fract_y
_atom_site_fract_z
_atom_site_occupancy
Er1 0.2109 0.2109 0.1305 1
Ga1 0.0000 0.0000 0.0000 1
Te1 0.0000 0.0000 0.2845 1
Te2 0.0000 0.5000 0.0000 1
```

---

- Which formula does entry 1 have?
  Er4GaTe2

---

Repeat the second record exactly.
Structure and simulated XRD peak list of Er4GaTe4 (a crystal structure in Alexandria, relaxed with PBE; Cu Ka).
Neutral-atom scattering factors, no anomalous dispersion.

Top 8 peaks for 2θ = 5–70°, in order of rising 2θ:
- (1 1 2), 2θ = 22.32°, I = 100
- (2 1 3), 2θ = 35.09°, I = 17
- (2 0 4), 2θ = 36.35°, I = 59
- (2 2 0), 2θ = 37.84°, I = 28
- (1 1 6), 2θ = 41.74°, I = 15
- (3 1 2), 2θ = 44.37°, I = 23
- (3 0 3), 2θ = 44.51°, I = 10
- (4 2 4), 2θ = 67.37°, I = 19

Crystal structure
```
data_Er4GaTe4
_symmetry_space_group_name_H-M 'I -4 2 m'
_symmetry_Int_Tables_number 121
_symmetry_space_group_name_Hall 'I -4 2'
_cell_length_a 6.7254
_cell_length_b 6.7254
_cell_length_c 14.5825
_cell_angle_alpha 90.00
_cell_angle_beta 90.00
_cell_angle_gamma 90.00
loop_
_atom_site_label
_atom_site_fract_x
_atom_site_fract_y
_atom_site_fract_z
_atom_site_occupancy
Er1 0.2109 0.2109 0.1305 1
Ga1 0.0000 0.0000 0.0000 1
Te1 0.0000 0.0000 0.2845 1
Te2 0.0000 0.5000 0.0000 1
```